Computed powder XRD pattern of RbHoCoO3 for copper Kα, from the PBE+U geometry in Alexandria.

Cell and atoms:
abc: 7.7491 3.5422 8.6979
angles: 90.00 108.91 90.00
Space group P2_1/m (No. 11)
Symmetry-distinct sites (fractional):
Rb 0.2035 0.2500 0.2028 x2
Ho 0.3390 0.7500 0.8581 x2
Co 0.0662 0.2500 0.6186 x2
O 0.1409 0.2500 0.8521 x2
O 0.1645 0.7500 0.5735 x2
O 0.4684 0.7500 0.1261 x2

Most intense lines, 2θ = 15–90°, sorted by position:
d (Å)	2θ (°)	I_rel	index
3.324	26.8	100	2 0 -2
3.254	27.4	53	0 1 1
3.006	29.7	33	2 0 1
2.743	32.6	33	0 0 3
2.684	33.4	72	0 1 2
2.605	34.4	93	2 1 -1
2.547	35.2	77	2 1 0
1.812	50.4	36	2 1 -4